(1)
Theoretical powder X-ray diffraction pattern of V3H4NO7 for λ = 1.5418 Å (Cu Kα), from a cell relaxed with PBE+U.
Lines closer than 0.1° are merged.

Lattice parameters (Å, degrees): 16.5349 3.8009 12.5333 90.00 127.60 90.00
Space group C2/m (No. 12)
Inequivalent atoms, fractional coordinates:
V 0.0562 0.0000 0.1700 x4
V 0.0590 0.5000 0.7745 x4
V 0.2067 0.0000 0.0504 x4
H 0.1235 0.2179 0.5239 x8
H 0.1822 0.0000 0.6730 x4
H 0.2355 0.0000 0.5945 x4
N 0.1676 0.0000 0.5805 x4
O 0.0230 0.5000 0.1583 x4
O 0.0276 0.5000 0.3939 x4
O 0.0708 0.0000 0.8324 x4
O 0.1022 0.0000 0.0751 x4
O 0.1593 0.0000 0.3282 x4
O 0.1861 0.5000 0.7828 x4
O 0.1986 0.5000 0.0020 x4

Peak list (10 most intense, 5° ≤ 2θ ≤ 70°, by angle)
| Position (°2θ) | I/Imax | hkl |
| --- | --- | --- |
| 8.91 | 100 | 0 0 1 |
| 14.38 | 20 | 2 0 -2 |
| 24.51 | 20 | 1 1 -1 |
| 27.76 | 13 | 1 1 -2 |
| 28.42 | 12 | 2 0 2 |
| 32.09 | 11 | 3 1 -3 |
| 32.55 | 12 | 6 0 -3 |
| 37.17 | 12 | 2 0 3 |
| 45.46 | 8 | 8 0 -5 |
| 47.86 | 12 | 0 2 0 |

=====

(2)
Theoretical powder X-ray diffraction pattern of VH4NO3 for λ = 1.5418 Å (Cu Kα), from a cell relaxed with PBE+U.
Lines closer than 0.1° are merged.

Lattice parameters (Å, degrees): 4.9594 12.0036 5.8599 90.00 90.00 90.00
Space group Pbcm (No. 57)
Inequivalent atoms, fractional coordinates:
V 0.0358 0.1731 0.2500 x4
H 0.2567 0.5439 0.7500 x4
H 0.3965 0.0303 0.7500 x4
H 0.4510 0.6363 0.6074 x8
N 0.4410 0.5861 0.7500 x4
O 0.0781 0.5407 0.2500 x4
O 0.0812 0.7500 0.0000 x4
O 0.3721 0.1693 0.2500 x4

Peak list (10 most intense, 5° ≤ 2θ ≤ 70°, by angle)
| Position (°2θ) | I/Imax | hkl |
| --- | --- | --- |
| 14.76 | 41 | 0 2 0 |
| 17.89 | 67 | 1 0 0 |
| 21.19 | 86 | 0 2 1 |
| 23.27 | 28 | 1 2 0 |
| 27.86 | 100 | 1 2 1 |
| 30.51 | 51 | 0 0 2 |
| 32.56 | 21 | 1 3 1 |
| 33.55 | 41 | 0 4 1 |
| 36.23 | 24 | 2 0 0 |
| 55.60 | 16 | 0 6 2 |